Diffraction record for CdFe2BO4. The powder diffraction line list is calculated, not measured: it uses DFT lattice parameters and positions (PBE+U) and λ = 1.5418 Å (Cu Kα).
Intensities are scaled so that the largest is 100.

```
16
Lattice="4.2420 -5.1365 0.0000 4.2420 5.1365 0.0000 -3.7833 0.0000 4.8800" Properties=species:S:1:pos:R:3 pbc="T T T"
Cd 0.0000 0.0000 0.0000
Cd -1.8916 0.0000 2.4400
Fe 2.1210 2.5683 0.0000
Fe 0.2293 -2.5683 2.4400
Fe 4.2420 0.0000 0.0000
Fe 2.3503 0.0000 2.4400
B 0.2293 2.5683 2.4400
B 2.1210 -2.5683 0.0000
O 1.4581 2.3981 2.1528
O 2.3619 0.6201 0.1193
O 0.4702 -0.6201 2.5593
O 5.1342 2.3981 0.2872
O -0.4335 -2.3981 4.5928
O 4.2304 0.6201 2.3207
O 2.3388 -0.6201 4.7607
O 3.2425 -2.3981 2.7272
```

Top 8 peaks for 15 to 90 degrees two-theta, by angle:
d (Å), Rel. int.
5.252, 22
5.137, 41
2.807, 100
2.626, 65
2.568, 59
2.440, 60
2.112, 25
1.769, 33